# CaNb3O8
Theoretical powder diffractogram, Cu Kα (weighted mean of Kα1 and Kα2). Input: a GGA-PBE-relaxed structure.
Peak positions follow from Bragg's law for the DFT cell and can differ from measured ones.

Structure:
```
data_CaNb3O8
_symmetry_space_group_name_H-M 'C 1 m 1'
_symmetry_Int_Tables_number 8
_symmetry_space_group_name_Hall 'C -2y'
_cell_length_a 13.3450
_cell_length_b 3.9590
_cell_length_c 7.0875
_cell_angle_alpha 90.00
_cell_angle_beta 105.90
_cell_angle_gamma 90.00
loop_
_atom_site_label
_atom_site_type_symbol
_atom_site_fract_x
_atom_site_fract_y
_atom_site_fract_z
Ca1 Ca 0.0000 0.0000 0.0000
Nb1 Nb 0.0939 0.0000 0.5842
Nb2 Nb 0.2972 0.0000 0.0158
Nb3 Nb 0.3860 0.0000 0.5859
O1 O 0.0526 0.5000 0.6130
O2 O 0.0649 0.0000 0.3221
O3 O 0.1511 0.0000 0.9150
O4 O 0.2472 0.0000 0.6334
O5 O 0.3172 0.5000 0.0179
O6 O 0.3366 0.0000 0.3044
O7 O 0.4242 0.0000 0.9055
O8 O 0.4337 0.5000 0.6207
```

Top 6 peaks for 2θ = 15–90°, in order of falling intensity:
index, Position (°2θ), I/Imax
1 1 0, 23.5, 100
0 0 2, 26.1, 59
0 2 0, 45.8, 33
4 0 -1, 27.3, 30
4 0 1, 34.0, 28
3 1 -1, 31.1, 27